Entry 1:
For LaTaN3, a crystal structure in Alexandria, relaxed with PBE gives the theoretical XRD peak list in this record (Cu Ka).
Kinematic intensities with the Lorentz-polarization factor, no thermal factor.

Cell and atoms:
Unit cell a=3.8303 b=4.2827 c=9.0312 alpha=90.00 beta=95.84 gamma=90.00
Space group Pm (No. 6)
Unique sites:
La 0.0000 0.0000 0.0000 (multiplicity 1)
La 0.1696 0.5000 0.6399 (multiplicity 1)
Ta 0.5678 0.5000 0.2013 (multiplicity 1)
Ta 0.6213 0.0000 0.4243 (multiplicity 1)
N 0.0548 0.5000 0.1369 (multiplicity 1)
N 0.1406 0.0000 0.5106 (multiplicity 1)
N 0.5050 0.5000 0.9153 (multiplicity 1)
N 0.5692 0.0000 0.2006 (multiplicity 1)
N 0.6208 0.5000 0.4308 (multiplicity 1)
N 0.7346 0.5000 0.8187 (multiplicity 1)

Top 10 peaks for 2θ = 10–90°, by angle:
(1 0 -1), 2θ = 24.43°, intensity 19
(1 0 1), 2θ = 26.32°, intensity 43
(0 1 2), 2θ = 28.80°, intensity 100
(1 0 -2), 2θ = 29.15°, intensity 27
(1 1 -1), 2θ = 32.26°, intensity 46
(1 1 1), 2θ = 33.74°, intensity 35
(0 1 3), 2θ = 36.62°, intensity 23
(1 0 3), 2θ = 40.15°, intensity 30
(0 2 0), 2θ = 42.20°, intensity 31
(2 0 -1), 2θ = 47.76°, intensity 24

***

Entry 2:
For UAlFe2Si4, a crystal structure in Alexandria, relaxed with PBE gives the theoretical XRD peak list in this record (Cu Ka).
Kinematic intensities with the Lorentz-polarization factor, no thermal factor.

Cell and atoms:
Unit cell a=3.3923 b=3.3923 c=10.5707 alpha=90.00 beta=90.00 gamma=90.00
Space group P4/mmm (No. 123)
Unique sites:
U 0.0000 0.0000 0.0000 (multiplicity 1)
Al 0.0000 0.0000 0.5000 (multiplicity 1)
Fe 0.5000 0.5000 0.3851 (multiplicity 2)
Si 0.0000 0.5000 0.2289 (multiplicity 4)

Top 10 peaks for 2θ = 10–90°, by angle:
(0 0 2), 2θ = 16.77°, intensity 21
(1 0 1), 2θ = 27.62°, intensity 100
(1 0 2), 2θ = 31.33°, intensity 50
(1 1 0), 2θ = 37.49°, intensity 18
(1 1 2), 2θ = 41.33°, intensity 59
(1 0 4), 2θ = 43.41°, intensity 48
(1 1 3), 2θ = 45.76°, intensity 30
(2 0 0), 2θ = 54.07°, intensity 22
(2 1 1), 2θ = 61.78°, intensity 21
(2 1 4), 2θ = 71.74°, intensity 22

***

Entry 3:
For CdAs2Os, a crystal structure in Alexandria, relaxed with PBE gives the theoretical XRD peak list in this record (Cu Ka).
Kinematic intensities with the Lorentz-polarization factor, no thermal factor.

Cell and atoms:
Unit cell a=4.5541 b=3.7759 c=8.8401 alpha=90.00 beta=90.00 gamma=90.00
Space group Amm2 (No. 38)
Unique sites:
Cd 0.0000 0.0000 0.0000 (multiplicity 2)
As 0.0000 0.0000 0.7141 (multiplicity 2)
As 0.5000 0.0000 0.2949 (multiplicity 2)
Os 0.5000 0.0000 0.5906 (multiplicity 2)

Top 10 peaks for 2θ = 10–90°, by angle:
(0 0 2), 2θ = 20.09°, intensity 30
(0 1 1), 2θ = 25.65°, intensity 19
(1 1 1), 2θ = 32.42°, intensity 100
(0 1 3), 2θ = 38.76°, intensity 36
(2 0 0), 2θ = 39.58°, intensity 38
(1 1 3), 2θ = 43.74°, intensity 52
(1 0 4), 2θ = 45.63°, intensity 34
(0 2 0), 2θ = 48.20°, intensity 22
(2 1 3), 2θ = 56.60°, intensity 24
(1 2 4), 2θ = 68.54°, intensity 20

***

Entry 4:
For Nd6Te5N, a crystal structure in Alexandria, relaxed with PBE gives the theoretical XRD peak list in this record (Cu Ka).
Kinematic intensities with the Lorentz-polarization factor, no thermal factor.

Cell and atoms:
Unit cell a=7.6684 b=13.1547 c=7.4773 alpha=90.00 beta=109.19 gamma=90.00
Space group C2/m (No. 12)
Unique sites:
Nd 0.2055 0.0000 0.2687 (multiplicity 4)
Nd 0.2076 0.1394 0.7098 (multiplicity 8)
Te 0.0000 0.1822 0.0000 (multiplicity 4)
Te 0.0000 0.3363 0.5000 (multiplicity 4)
Te 0.0000 0.5000 0.0000 (multiplicity 2)
N 0.0000 0.0000 0.5000 (multiplicity 2)

Top 10 peaks for 2θ = 10–90°, by angle:
(1 3 1), 2θ = 28.78°, intensity 100
(2 0 -2), 2θ = 28.94°, intensity 51
(2 4 -1), 2θ = 36.28°, intensity 8
(1 5 -1), 2θ = 37.15°, intensity 10
(3 1 0), 2θ = 37.89°, intensity 11
(3 3 -1), 2θ = 40.87°, intensity 30
(2 0 2), 2θ = 41.16°, intensity 28
(1 3 -3), 2θ = 41.68°, intensity 32
(2 6 -2), 2θ = 51.11°, intensity 12
(3 3 3), 2θ = 67.54°, intensity 8